Starting from a GGA-PBE-relaxed structure, the powder diffraction line list of GdErNi8B2 was simulated for a wavelength of 1.5418 Å.
Peak positions follow from Bragg's law for the DFT cell and can differ from measured ones.

Most intense lines, 10 to 90 degrees two-theta, in order of rising 2θ:
two_theta	I/Imax
20.58	14
33.05	90
36.04	31
41.85	74
44.71	100
62.90	28
65.37	15
69.33	16
70.86	24
76.44	21

Cell and atoms:
```
GdErNi8B2
1.0
4.9844 0.0000 0.0000
-2.4922 4.3167 0.0000
0.0000 0.0000 6.9664
Gd Er Ni B
1 1 8 2
Cartesian
0.0000 0.0000 0.0000 Gd
0.0000 0.0000 3.4832 Er
-1.2461 2.1583 1.4540 Ni
-1.2461 2.1583 5.5124 Ni
0.0000 2.8778 3.4832 Ni
2.4922 0.0000 1.4540 Ni
2.4922 0.0000 5.5124 Ni
1.2461 2.1583 1.4540 Ni
1.2461 2.1583 5.5124 Ni
2.4922 1.4389 3.4832 Ni
0.0000 2.8778 0.0000 B
2.4922 1.4389 0.0000 B
```


Starting from a GGA-PBE-relaxed structure, the powder diffraction line list of Sm2GdTa2P6 was simulated for a wavelength of 1.5418 Å.
Peak positions follow from Bragg's law for the DFT cell and can differ from measured ones.

Most intense lines, 10 to 90 degrees two-theta, in order of rising 2θ:
two_theta	I/Imax
15.66	31
26.77	85
27.33	100
33.63	25
38.22	59
40.68	28
47.62	45
55.16	20
56.36	20
57.04	22

Cell and atoms:
```
Sm2GdTa2P6
1.0
-2.3547 2.3547 11.3149
2.3547 -2.3547 11.3149
2.3547 2.3547 -11.3149
Sm Gd Ta P
2 1 2 6
Cartesian
0.0000 0.0000 3.7559 Sm
0.0000 0.0000 18.8739 Sm
0.0000 0.0000 0.0000 Gd
0.0000 0.0000 8.9081 Ta
0.0000 0.0000 13.7217 Ta
2.3547 0.0000 1.7973 P
0.0000 0.0000 6.6006 P
2.3547 0.0000 9.5176 P
0.0000 2.3547 1.7973 P
0.0000 0.0000 16.0292 P
0.0000 2.3547 9.5176 P
```


Number 2 is which compound? Sm2GdTa2P6


What is the formula in the second record? Sm2GdTa2P6